# 1
Structure and theoretical powder diffractogram of Cs6MoP4 (a crystal structure in Alexandria, relaxed with PBE; Cu Kα (weighted mean of Kα1 and Kα2)).
No peak broadening, texture or thermal motion is included.

Structural model:
Unit cell a=10.8574 b=10.8574 c=8.7832 alpha=90.00 beta=90.00 gamma=120.00
Fractional coordinates of all 22 atoms:
Cs1 0.0721 0.5361 0.0000
Cs2 0.1473 0.2945 0.3181
Cs3 0.1473 0.8527 0.3181
Cs4 0.2945 0.1473 0.8181
Cs5 0.4639 0.5361 0.0000
Cs6 0.4639 0.9279 0.0000
Cs7 0.5361 0.0721 0.5000
Cs8 0.5361 0.4639 0.5000
Cs9 0.7055 0.8527 0.3181
Cs10 0.8527 0.1473 0.8181
Cs11 0.8527 0.7055 0.8181
Cs12 0.9279 0.4639 0.5000
Mo1 0.3333 0.6667 0.6032
Mo2 0.6667 0.3333 0.1032
P1 0.2153 0.4307 0.6867
P2 0.2153 0.7847 0.6867
P3 0.3333 0.6667 0.3381
P4 0.4307 0.2153 0.1867
P5 0.5693 0.7847 0.6867
P6 0.6667 0.3333 0.8381
P7 0.7847 0.2153 0.1867
P8 0.7847 0.5693 0.1867

Top 8 peaks for 2θ = 10–80°, most intense first:
Position (°2θ), d/Å, intensity
27.07, 3.294, 100
27.80, 3.209, 75
21.44, 4.145, 53
33.00, 2.714, 48
22.34, 3.979, 38
30.28, 2.952, 33
46.93, 1.936, 27
49.57, 1.839, 24


# 2
Structure and theoretical powder diffractogram of Cs3RbMo2S8 (a crystal structure in Alexandria, relaxed with PBE; Cu Kα (weighted mean of Kα1 and Kα2)).
No peak broadening, texture or thermal motion is included.

Structural model:
Unit cell a=7.5332 b=7.5332 c=10.8462 alpha=90.00 beta=90.00 gamma=120.00
Fractional coordinates of all 14 atoms:
Cs1 0.0000 0.0000 0.0000
Cs2 0.3333 0.6667 0.6919
Cs3 0.6667 0.3333 0.3081
Rb1 0.0000 0.0000 0.5000
Mo1 0.3333 0.6667 0.2154
Mo2 0.6667 0.3333 0.7846
S1 0.1736 0.3473 0.2830
S2 0.1736 0.8264 0.2830
S3 0.3333 0.6667 0.0147
S4 0.3473 0.1736 0.7170
S5 0.6527 0.8264 0.2830
S6 0.6667 0.3333 0.9853
S7 0.8264 0.1736 0.7170
S8 0.8264 0.6527 0.7170

Top 8 peaks for 2θ = 10–80°, most intense first:
Position (°2θ), d/Å, intensity
23.62, 3.767, 100
21.31, 4.170, 91
32.02, 2.795, 61
40.17, 2.245, 32
48.33, 1.883, 26
41.53, 2.175, 22
43.40, 2.085, 18
53.38, 1.716, 15


# 3
Structure and theoretical powder diffractogram of CsMo9S9 (a crystal structure in Alexandria, relaxed with PBE; Cu Kα (weighted mean of Kα1 and Kα2)).
No peak broadening, texture or thermal motion is included.

Structural model:
Unit cell a=9.6294 b=9.6294 c=13.0986 alpha=90.00 beta=90.00 gamma=120.00
Fractional coordinates of all 38 atoms:
Cs1 0.3333 0.6667 0.2500
Cs2 0.6667 0.3333 0.7500
Mo1 0.0248 0.8498 0.2500
Mo2 0.0256 0.8494 0.5832
Mo3 0.0256 0.8494 0.9168
Mo4 0.1502 0.1749 0.2500
Mo5 0.1506 0.1762 0.5832
Mo6 0.1506 0.1762 0.9168
Mo7 0.1749 0.0248 0.7500
Mo8 0.1762 0.0256 0.0832
Mo9 0.1762 0.0256 0.4168
Mo10 0.8238 0.9744 0.5832
Mo11 0.8238 0.9744 0.9168
Mo12 0.8251 0.9752 0.2500
Mo13 0.8494 0.8238 0.0832
Mo14 0.8494 0.8238 0.4168
Mo15 0.8498 0.8251 0.7500
Mo16 0.9744 0.1506 0.0832
Mo17 0.9744 0.1506 0.4168
Mo18 0.9752 0.1502 0.7500
S1 0.0451 0.7259 0.7500
S2 0.0470 0.7271 0.0837
S3 0.0470 0.7271 0.4163
S4 0.2729 0.3199 0.0837
S5 0.2729 0.3199 0.4163
S6 0.2741 0.3192 0.7500
S7 0.3192 0.0451 0.2500
S8 0.3199 0.0470 0.5837
S9 0.3199 0.0470 0.9163
S10 0.6801 0.9530 0.0837
S11 0.6801 0.9530 0.4163
S12 0.6808 0.9549 0.7500
S13 0.7259 0.6808 0.2500
S14 0.7271 0.6801 0.5837
S15 0.7271 0.6801 0.9163
S16 0.9530 0.2729 0.5837
S17 0.9530 0.2729 0.9163
S18 0.9549 0.2741 0.2500

Top 8 peaks for 2θ = 10–80°, most intense first:
Position (°2θ), d/Å, intensity
10.61, 8.339, 100
42.88, 2.109, 20
35.11, 2.556, 13
44.32, 2.044, 12
52.20, 1.752, 9
28.31, 3.152, 9
41.36, 2.183, 6
12.58, 7.035, 5


# 4
Structure and theoretical powder diffractogram of CsMo6Se7 (a crystal structure in Alexandria, relaxed with PBE; Cu Kα (weighted mean of Kα1 and Kα2)).
No peak broadening, texture or thermal motion is included.

Structural model:
Unit cell a=10.0192 b=10.0192 c=10.0192 alpha=58.91 beta=58.91 gamma=58.91
Fractional coordinates of all 28 atoms:
Cs1 0.1256 0.1256 0.1256
Cs2 0.8744 0.8744 0.8744
Mo1 0.1960 0.5053 0.3824
Mo2 0.3062 0.4394 0.6201
Mo3 0.3799 0.6938 0.5606
Mo4 0.3824 0.1960 0.5053
Mo5 0.4394 0.6201 0.3062
Mo6 0.4947 0.6176 0.8040
Mo7 0.5053 0.3824 0.1960
Mo8 0.5606 0.3799 0.6938
Mo9 0.6176 0.8040 0.4947
Mo10 0.6201 0.3062 0.4394
Mo11 0.6938 0.5606 0.3799
Mo12 0.8040 0.4947 0.6176
Se1 0.0813 0.3320 0.6937
Se2 0.1318 0.7403 0.4848
Se3 0.2597 0.5152 0.8682
Se4 0.2792 0.2792 0.2792
Se5 0.3063 0.9187 0.6680
Se6 0.3320 0.6937 0.0813
Se7 0.4848 0.1318 0.7403
Se8 0.5152 0.8682 0.2597
Se9 0.6680 0.3063 0.9187
Se10 0.6937 0.0813 0.3320
Se11 0.7208 0.7208 0.7208
Se12 0.7403 0.4848 0.1318
Se13 0.8682 0.2597 0.5152
Se14 0.9187 0.6680 0.3063

Top 8 peaks for 2θ = 10–80°, most intense first:
Position (°2θ), d/Å, intensity
10.97, 8.068, 100
42.76, 2.115, 49
50.11, 1.821, 20
38.19, 2.357, 17
28.22, 3.162, 16
31.45, 2.845, 16
33.15, 2.702, 16
43.91, 2.062, 14


# 5
Structure and theoretical powder diffractogram of Cs2YMo2 (a crystal structure in Alexandria, relaxed with PBE; Cu Kα (weighted mean of Kα1 and Kα2)).
No peak broadening, texture or thermal motion is included.

Structural model:
Unit cell a=6.8288 b=6.8288 c=6.8288 alpha=139.02 beta=139.02 gamma=59.34
Fractional coordinates of all 5 atoms:
Cs1 0.1339 0.1339 0.0000
Cs2 0.8661 0.8661 0.0000
Y1 0.5000 0.5000 0.0000
Mo1 0.2500 0.7500 0.5000
Mo2 0.7500 0.2500 0.5000

Top 8 peaks for 2θ = 10–80°, most intense first:
Position (°2θ), d/Å, intensity
29.31, 3.048, 100
37.63, 2.390, 82
30.43, 2.937, 66
40.45, 2.230, 58
48.39, 1.881, 48
54.27, 1.690, 28
53.69, 1.707, 27
14.93, 5.933, 25


# 6
Structure and theoretical powder diffractogram of CsNaNpN3 (a crystal structure in Alexandria, relaxed with PBE; Cu Kα (weighted mean of Kα1 and Kα2)).
No peak broadening, texture or thermal motion is included.

Structural model:
Unit cell a=7.0143 b=7.0143 c=6.1858 alpha=91.63 beta=91.63 gamma=126.71
Fractional coordinates of all 12 atoms:
Cs1 0.2391 0.7609 0.7500
Cs2 0.7609 0.2391 0.2500
Na1 0.0726 0.9274 0.2500
Na2 0.9274 0.0726 0.7500
Np1 0.4383 0.5617 0.2500
Np2 0.5617 0.4383 0.7500
N1 0.2705 0.3392 0.4799
N2 0.2865 0.7135 0.2500
N3 0.3392 0.2705 0.9799
N4 0.6608 0.7295 0.0201
N5 0.7135 0.2865 0.7500
N6 0.7295 0.6608 0.5201

Top 8 peaks for 2θ = 10–80°, most intense first:
Position (°2θ), d/Å, intensity
28.98, 3.081, 100
15.78, 5.614, 87
29.92, 2.986, 69
28.44, 3.139, 48
20.19, 4.399, 37
39.64, 2.274, 23
42.35, 2.134, 18
50.13, 1.820, 16